Structure and theoretical XRD peak list of Fe3Sn (a DFT-relaxed cell (GGA-PBE, the Materials Project); Cu Ka).
No peak broadening, texture or thermal motion is included.

The 8 most intense peaks (2θ = 10–90°), most intense first:
40.9°, d = 2.205 Å, rel. 100
47.6°, d = 1.909 Å, rel. 48
84.1°, d = 1.151 Å, rel. 35
69.6°, d = 1.350 Å, rel. 29
23.3°, d = 3.819 Å, rel. 13
33.2°, d = 2.700 Å, rel. 12
88.8°, d = 1.102 Å, rel. 10
53.7°, d = 1.708 Å, rel. 7

Cell and atoms:
```
Fe3Sn
1.0
3.819 0.000 0.000
0.000 3.819 0.000
0.000 0.000 3.819
Fe Sn
3 1
Direct
0.000 0.000 0.500 Fe
0.000 0.500 0.000 Fe
0.500 0.000 0.000 Fe
0.500 0.500 0.500 Sn
```